[1]
# Mn2FeWO6
Computed XRD peak list, Cu Kα (λ = 1.5418 Å). Input: a structure optimized by DFT (GGA+U).

Peak list (10 most intense, 2θ from 10° to 90°, by intensity)
(hkl)  two_theta  I (rel.)
1 0 4  31.7  100
1 1 0  33.5  86
0 1 2  22.9  64
1 0 1  20.1  52
0 2 4  46.8  44
1 1 6  51.5  42
2 1 4  58.7  37
3 0 0  59.9  28
1 1 3  38.6  25
0 0 3  18.7  20

abc: 5.3523 5.3523 14.2427
angles: 90.00 90.00 120.00
Space group R3 (No. 146, hexagonal axes)
Symmetry-distinct sites (fractional):
Mn  0.0000  0.0000  0.0000 x3
Mn  0.0000  0.0000  0.4981 x3
Fe  0.0000  0.0000  0.7801 x3
W  0.0000  0.0000  0.2864 x3
O  0.0286  0.6356  0.0424 x9
O  0.0498  0.3376  0.8814 x9


[2]
# MnZnFe4O8
Computed XRD peak list, Cu Kα (λ = 1.5418 Å). Input: a structure optimized by DFT (GGA+U).

Peak list (10 most intense, 2θ from 10° to 90°, by intensity)
(hkl)  two_theta  I (rel.)
3 1 1  34.7  100
4 4 0  61.2  45
5 1 1  55.8  37
2 2 0  29.5  32
4 0 0  42.2  18
5 5 3  87.5  17
4 2 2  52.3  11
5 3 3  72.3  10
1 1 1  17.9  9
2 2 2  36.3  8

abc: 8.5652 8.5652 8.5652
angles: 90.00 90.00 90.00
Space group F-43m (No. 216)
Symmetry-distinct sites (fractional):
Mn  0.0000  0.0000  0.0000 x4
Zn  0.2500  0.2500  0.2500 x4
Fe  0.1254  0.1254  0.6254 x16
O  0.1146  0.1146  0.3854 x16
O  0.1372  0.1372  0.8628 x16


[3]
# Mn3ZnFe8O16
Computed XRD peak list, Cu Kα (λ = 1.5418 Å). Input: a structure optimized by DFT (GGA+U).

Peak list (10 most intense, 2θ from 10° to 90°, by intensity)
(hkl)  two_theta  I (rel.)
2 0 2  34.6  100
3 0 6  55.6  36
1 1 0  29.4  30
2 2 0  61.0  23
0 2 16  61.1  23
2 0 8  42.1  20
0 1 2  17.9  12
1 4 6  87.1  10
0 0 12  36.2  9
0 4 2  72.1  8

abc: 6.0780 6.0780 29.6962
angles: 90.00 90.00 120.00
Space group R3m (No. 160, hexagonal axes)
Symmetry-distinct sites (fractional):
Mn  0.0000  0.0000  0.0000 x3
Mn  0.0000  0.0000  0.1255 x3
Mn  0.0000  0.0000  0.6250 x3
Zn  0.0000  0.0000  0.4999 x3
Fe  0.0000  0.0000  0.3127 x3
Fe  0.0000  0.0000  0.8125 x3
Fe  0.9996  0.4998  0.5622 x9
Fe  0.1670  0.3340  0.3964 x9
O  0.0000  0.0000  0.1936 x3
O  0.0000  0.0000  0.4327 x3
O  0.0000  0.0000  0.6935 x3
O  0.0000  0.0000  0.9312 x3
O  0.0314  0.5157  0.9355 x9
O  0.0358  0.5179  0.4363 x9
O  0.1822  0.3644  0.5218 x9
O  0.1823  0.3646  0.0231 x9


[4]
# NaFe2Mo3O12
Computed XRD peak list, Cu Kα (λ = 1.5418 Å). Input: a structure optimized by DFT (GGA+U).

Peak list (10 most intense, 2θ from 10° to 90°, by intensity)
(hkl)  two_theta  I (rel.)
0 2 0  26.2  100
0 1 3  24.3  53
2 0 1  25.6  44
0 1 -3  29.7  36
1 2 2  29.0  25
0 0 3  23.7  23
1 1 -1  22.5  21
1 -1 2  24.2  18
1 0 0  13.0  15
-1 1 6  52.2  14

abc: 6.9738 6.9970 11.9208
angles: 76.65 76.59 88.27
Space group P-1 (No. 2)
Symmetry-distinct sites (fractional):
Na  0.1803  0.1024  0.3680 x2
Fe  0.3022  0.7973  0.9089 x2
Fe  0.3293  0.1924  0.6886 x2
Mo  0.1950  0.7011  0.2433 x2
Mo  0.2475  0.2547  0.0000 x2
Mo  0.3473  0.7501  0.6070 x2
O  0.0052  0.7610  0.9215 x2
O  0.0297  0.1782  0.7057 x2
O  0.1510  0.8455  0.5428 x2
O  0.1755  0.4450  0.2920 x2
O  0.2608  0.7638  0.0803 x2
O  0.2761  0.1008  0.8929 x2
O  0.3081  0.4947  0.6654 x2
O  0.3188  0.5023  0.9226 x2
O  0.3566  0.8687  0.7324 x2
O  0.3789  0.7961  0.3007 x2
O  0.3975  0.1763  0.1053 x2
O  0.4232  0.2049  0.5022 x2


[5]
# NaFe2Mo3O12
Computed XRD peak list, Cu Kα (λ = 1.5418 Å). Input: a structure optimized by DFT (GGA+U).

Peak list (10 most intense, 2θ from 10° to 90°, by intensity)
(hkl)  two_theta  I (rel.)
0 0 3  23.9  100
2 0 0  25.6  91
0 2 0  25.9  56
1 -1 1  21.4  31
1 2 1  26.9  30
1 4 1  52.0  30
-1 1 2  24.5  26
0 1 -3  29.1  23
2 0 3  33.9  21
2 1 1  27.0  18

abc: 7.0653 7.0670 11.3554
angles: 80.05 84.03 80.89
Space group P-1 (No. 2)
Symmetry-distinct sites (fractional):
Na  0.1452  0.4084  0.1744 x2
Fe  0.1863  0.8308  0.4905 x2
Fe  0.2283  0.2216  0.8843 x2
Mo  0.2415  0.9005  0.1469 x2
Mo  0.2740  0.2953  0.5470 x2
Mo  0.2955  0.7141  0.8114 x2
O  0.0676  0.7470  0.1259 x2
O  0.1246  0.1326  0.5050 x2
O  0.1630  0.7626  0.6817 x2
O  0.1886  0.1480  0.0672 x2
O  0.2010  0.5052  0.9060 x2
O  0.2080  0.5365  0.4721 x2
O  0.2207  0.9188  0.3003 x2
O  0.2485  0.2920  0.7080 x2
O  0.2560  0.9320  0.8829 x2
O  0.4585  0.3449  0.2282 x2
O  0.4834  0.7949  0.1082 x2
O  0.4845  0.7890  0.4950 x2


[6]
# Na3Fe2Mo5O16
Computed XRD peak list, Cu Kα (λ = 1.5418 Å). Input: a structure optimized by DFT (GGA+U).

Peak list (10 most intense, 2θ from 10° to 90°, by intensity)
(hkl)  two_theta  I (rel.)
0 1 4  24.1  100
1 0 6  30.3  84
2 0 2  37.0  72
2 0 8  49.4  54
1 1 2  32.2  46
1 1 0  31.1  43
0 0 6  24.3  42
0 2 10  55.8  40
2 2 0  64.8  38
1 0 2  19.6  37

abc: 5.7516 5.7516 21.9457
angles: 90.00 90.00 120.00
Space group P-3m1 (No. 164)
Symmetry-distinct sites (fractional):
Na  0.0000  0.0000  0.0000 x1
Na  0.0000  0.0000  0.5000 x1
Na  0.3333  0.6667  0.1112 x2
Na  0.3333  0.6667  0.6162 x2
Fe  0.0000  0.0000  0.1459 x2
Fe  0.0000  0.0000  0.3491 x2
Mo  0.0329  0.5164  0.2494 x6
Mo  0.3333  0.6667  0.4330 x2
Mo  0.3333  0.6667  0.9277 x2
O  0.1569  0.3137  0.9068 x6
O  0.1580  0.3159  0.4119 x6
O  0.1605  0.3211  0.1946 x6
O  0.1703  0.3405  0.6995 x6
O  0.3333  0.6667  0.0082 x2
O  0.3333  0.6667  0.3139 x2
O  0.3333  0.6667  0.5132 x2
O  0.3333  0.6667  0.7977 x2


[7]
# Na3Fe2Mo5O16
Computed XRD peak list, Cu Kα (λ = 1.5418 Å). Input: a structure optimized by DFT (GGA+U).

Peak list (10 most intense, 2θ from 10° to 90°, by intensity)
(hkl)  two_theta  I (rel.)
0 1 4  23.6  100
2 0 2  34.9  89
1 0 6  30.1  86
2 0 8  48.2  58
1 1 2  30.4  54
2 2 0  60.5  51
1 1 0  29.2  47
0 2 10  55.0  46
1 0 2  18.7  45
0 0 6  24.9  42

abc: 6.1232 6.1232 21.4857
angles: 90.00 90.00 120.00
Space group P-3m1 (No. 164)
Symmetry-distinct sites (fractional):
Na  0.0000  0.0000  0.0000 x1
Na  0.0000  0.0000  0.5000 x1
Na  0.3333  0.6667  0.1112 x2
Na  0.3333  0.6667  0.6154 x2
Fe  0.0000  0.0000  0.1507 x2
Fe  0.0000  0.0000  0.3525 x2
Mo  0.0025  0.5012  0.7523 x6
Mo  0.3333  0.6667  0.4310 x2
Mo  0.3333  0.6667  0.9240 x2
O  0.1618  0.3236  0.9093 x6
O  0.1668  0.3336  0.4099 x6
O  0.1700  0.3400  0.1947 x6
O  0.1771  0.3541  0.7018 x6
O  0.3333  0.6667  0.0057 x2
O  0.3333  0.6667  0.2984 x2
O  0.3333  0.6667  0.5129 x2
O  0.3333  0.6667  0.8082 x2


[8]
# Na3Fe2Mo3O12
Computed XRD peak list, Cu Kα (λ = 1.5418 Å). Input: a structure optimized by DFT (GGA+U).

Peak list (10 most intense, 2θ from 10° to 90°, by intensity)
(hkl)  two_theta  I (rel.)
2 4 0  30.3  100
1 3 -2  31.4  66
1 1 -2  25.3  62
1 3 -1  22.9  44
4 0 0  31.5  43
2 0 0  15.6  37
3 1 -2  28.3  35
0 4 1  29.1  29
0 2 0  12.8  25
3 1 0  24.4  23

abc: 12.4207 13.8186 7.3242
angles: 90.00 113.90 90.00
Space group C2/c (No. 15)
Symmetry-distinct sites (fractional):
Na  0.0000  0.0000  0.0000 x4
Na  0.0000  0.2324  0.2500 x4
Na  0.0000  0.4911  0.7500 x4
Fe  0.2140  0.3401  0.1295 x8
Mo  0.0000  0.2199  0.7500 x4
Mo  0.2281  0.3911  0.6270 x8
O  0.0415  0.2997  0.9764 x8
O  0.1101  0.1318  0.7313 x8
O  0.1209  0.0844  0.3053 x8
O  0.1500  0.4949  0.1000 x8
O  0.1709  0.3317  0.3884 x8
O  0.2184  0.3189  0.8279 x8